This entry pairs a crystal structure of Dy2Sc2CI5 with its computed powder XRD pattern. Radiation: CuKα. Structure: a cell relaxed with GGA-PBE.
Lines closer than 0.1° are merged.

Structural model:
Cell lengths 19.141, 3.891, 8.368 Å; angles 90.00, 102.37, 90.00 degrees
Space group C2/m (No. 12)
One atom of each set of equivalent atoms:
Dy  0.126  0.000  0.062 (multiplicity 4)
Sc  0.000  0.500  0.178 (multiplicity 4)
C  0.000  0.000  0.000 (multiplicity 2)
I  0.000  0.000  0.500 (multiplicity 2)
I  0.157  0.500  0.344 (multiplicity 4)
I  0.161  0.500  0.812 (multiplicity 4)

Peak list (10 most intense, 5 to 70 degrees two-theta, by intensity)
2θ 31.4, intensity 1000
2θ 28.6, intensity 325
2θ 19.0, intensity 301
2θ 30.3, intensity 254
2θ 10.8, intensity 194
2θ 42.9, intensity 185
2θ 43.1, intensity 183
2θ 33.3, intensity 181
2θ 46.7, intensity 178
2θ 43.2, intensity 163



This entry pairs a crystal structure of KHfAgTe2Se with its computed powder XRD pattern. Radiation: CuKα. Structure: a cell relaxed with GGA-PBE.
Lines closer than 0.1° are merged.

Structural model:
Cell lengths 8.748, 4.162, 10.571 Å; angles 90.00, 110.40, 90.00 degrees
Space group P2_1/m (No. 11)
One atom of each set of equivalent atoms:
K  0.238  0.250  0.190 (multiplicity 2)
Hf  0.198  0.750  0.676 (multiplicity 2)
Ag  0.424  0.250  0.899 (multiplicity 2)
Te  0.053  0.750  0.369 (multiplicity 2)
Te  0.409  0.250  0.634 (multiplicity 2)
Se  0.240  0.750  0.934 (multiplicity 2)

Peak list (10 most intense, 5 to 70 degrees two-theta, by intensity)
2θ 11.4, intensity 1000
2θ 29.7, intensity 452
2θ 30.6, intensity 336
2θ 41.6, intensity 328
2θ 27.0, intensity 221
2θ 43.5, intensity 178
2θ 33.4, intensity 152
2θ 46.3, intensity 136
2θ 36.3, intensity 105
2θ 37.7, intensity 105



This entry pairs a crystal structure of Y2Hf4Ge3N3 with its computed powder XRD pattern. Radiation: CuKα. Structure: a cell relaxed with GGA-PBE.
Lines closer than 0.1° are merged.

Structural model:
Cell lengths 9.972, 5.752, 14.149 Å; angles 90.00, 103.99, 90.00 degrees
Space group C2/c (No. 15)
One atom of each set of equivalent atoms:
Y  0.043  0.081  0.392 (multiplicity 8)
Hf  0.113  0.410  0.586 (multiplicity 8)
Hf  0.224  0.420  0.914 (multiplicity 8)
Ge  0.000  0.497  0.750 (multiplicity 4)
Ge  0.211  0.126  0.752 (multiplicity 8)
N  0.086  0.259  0.000 (multiplicity 8)
N  0.250  0.250  0.500 (multiplicity 4)

Peak list (10 most intense, 5 to 70 degrees two-theta, by intensity)
2θ 37.0, intensity 1000
2θ 36.8, intensity 514
2θ 31.1, intensity 332
2θ 55.3, intensity 282
2θ 39.4, intensity 271
2θ 31.8, intensity 194
2θ 12.9, intensity 142
2θ 17.9, intensity 109
2θ 69.7, intensity 98
2θ 18.3, intensity 81



This entry pairs a crystal structure of KTl3In3Au4 with its computed powder XRD pattern. Radiation: CuKα. Structure: a cell relaxed with GGA-PBE.
Lines closer than 0.1° are merged.

Structural model:
Cell lengths 8.4777, 8.4777, 4.5793 Å; angles 90.00, 90.00, 120.00 degrees
Space group P-6m2 (No. 187)
One atom of each set of equivalent atoms:
K  0.0000  0.0000  0.0000 (multiplicity 1)
Tl  0.3839  0.1919  0.5000 (multiplicity 3)
In  0.0681  0.5340  0.0000 (multiplicity 3)
Au  0.2128  0.4256  0.5000 (multiplicity 3)
Au  0.6667  0.3333  0.0000 (multiplicity 1)

Peak list (10 most intense, 5 to 70 degrees two-theta, by intensity)
2θ 37.9, intensity 1000
2θ 31.2, intensity 780
2θ 32.3, intensity 458
2θ 12.1, intensity 403
2θ 39.4, intensity 350
2θ 41.9, intensity 301
2θ 66.9, intensity 267
2θ 42.7, intensity 255
2θ 51.8, intensity 245
2θ 19.4, intensity 228



This entry pairs a crystal structure of PrHBrCl with its computed powder XRD pattern. Radiation: CuKα. Structure: a cell relaxed with GGA-PBE.
Lines closer than 0.1° are merged.

Structural model:
Cell lengths 3.9994, 3.9994, 13.9447 Å; angles 90.00, 90.00, 120.00 degrees
Space group P-3m1 (No. 164)
One atom of each set of equivalent atoms:
Pr  0.0000  0.0000  0.2446 (multiplicity 2)
H  0.3333  0.6667  0.2472 (multiplicity 2)
Br  0.3333  0.6667  0.6138 (multiplicity 2)
Cl  0.3333  0.6667  0.8815 (multiplicity 2)

Peak list (10 most intense, 5 to 70 degrees two-theta, by intensity)
2θ 28.8, intensity 1000
2θ 36.6, intensity 877
2θ 12.7, intensity 805
2θ 45.4, intensity 409
2θ 26.5, intensity 266
2θ 32.2, intensity 255
2θ 59.6, intensity 208
2θ 25.7, intensity 185
2θ 47.3, intensity 180
2θ 6.3, intensity 172



This entry pairs a crystal structure of Zn2AsPO7 with its computed powder XRD pattern. Radiation: CuKα. Structure: a cell relaxed with GGA-PBE.
Lines closer than 0.1° are merged.

Structural model:
Cell lengths 6.465, 8.466, 4.683 Å; angles 90.00, 103.23, 90.00 degrees
Space group Cm (No. 8)
One atom of each set of equivalent atoms:
Zn  0.000  0.196  0.000 (multiplicity 4)
As  0.255  0.000  0.600 (multiplicity 2)
P  0.217  0.500  0.415 (multiplicity 2)
O  0.025  0.500  0.567 (multiplicity 2)
O  0.121  0.000  0.243 (multiplicity 2)
O  0.218  0.349  0.233 (multiplicity 4)
O  0.257  0.173  0.788 (multiplicity 4)
O  0.409  0.500  0.687 (multiplicity 2)

Peak list (10 most intense, 5 to 70 degrees two-theta, by intensity)
2θ 28.8, intensity 1000
2θ 30.6, intensity 384
2θ 35.5, intensity 209
2θ 56.3, intensity 191
2θ 17.6, intensity 162
2θ 44.5, intensity 136
2θ 34.8, intensity 122
2θ 48.7, intensity 117
2θ 62.2, intensity 112
2θ 61.4, intensity 86



This entry pairs a crystal structure of CsScHgS3 with its computed powder XRD pattern. Radiation: CuKα. Structure: a cell relaxed with GGA-PBE.
Lines closer than 0.1° are merged.

Structural model:
Cell lengths 8.801, 4.006, 10.327 Å; angles 90.00, 112.48, 90.00 degrees
Space group P2_1/m (No. 11)
One atom of each set of equivalent atoms:
Cs  0.242  0.250  0.259 (multiplicity 2)
Sc  0.334  0.750  0.876 (multiplicity 2)
Hg  0.091  0.250  0.622 (multiplicity 2)
S  0.129  0.250  0.873 (multiplicity 2)
S  0.242  0.750  0.567 (multiplicity 2)
S  0.478  0.750  0.134 (multiplicity 2)

Peak list (10 most intense, 5 to 70 degrees two-theta, by intensity)
2θ 11.3, intensity 1000
2θ 28.5, intensity 982
2θ 10.9, intensity 929
2θ 22.7, intensity 753
2θ 31.3, intensity 634
2θ 9.3, intensity 631
2θ 34.0, intensity 622
2θ 35.2, intensity 600
2θ 24.8, intensity 514
2θ 34.3, intensity 451



This entry pairs a crystal structure of ErTmZn4 with its computed powder XRD pattern. Radiation: CuKα. Structure: a cell relaxed with GGA-PBE.
Lines closer than 0.1° are merged.

Structural model:
Cell lengths 3.431, 4.440, 7.673 Å; angles 90.00, 90.00, 90.00 degrees
Space group Pmmm (No. 47)
One atom of each set of equivalent atoms:
Er  0.000  0.000  0.000 (multiplicity 1)
Tm  0.000  0.500  0.500 (multiplicity 1)
Zn  0.500  0.000  0.334 (multiplicity 2)
Zn  0.500  0.500  0.167 (multiplicity 2)

Peak list (10 most intense, 5 to 70 degrees two-theta, by intensity)
2θ 35.1, intensity 1000
2θ 40.7, intensity 560
2θ 54.8, intensity 276
2θ 23.2, intensity 225
2θ 69.2, intensity 224
2θ 53.4, intensity 83
2θ 59.0, intensity 38
2θ 47.3, intensity 35
2θ 64.1, intensity 20
2θ 64.2, intensity 10



This entry pairs a crystal structure of Hf2ZrAs4Pd4 with its computed powder XRD pattern. Radiation: CuKα. Structure: a cell relaxed with GGA-PBE.
Lines closer than 0.1° are merged.

Structural model:
Cell lengths 6.598, 3.930, 7.741 Å; angles 90.00, 90.43, 90.00 degrees
Space group Pm (No. 6)
One atom of each set of equivalent atoms:
Hf  0.000  0.000  0.000 (multiplicity 1)
Hf  0.494  0.000  0.130 (multiplicity 1)
Zr  0.575  0.500  0.507 (multiplicity 1)
As  0.271  0.500  0.934 (multiplicity 1)
As  0.289  0.000  0.446 (multiplicity 1)
As  0.784  0.500  0.192 (multiplicity 1)
As  0.819  0.000  0.694 (multiplicity 1)
Pd  0.189  0.500  0.257 (multiplicity 1)
Pd  0.405  0.000  0.758 (multiplicity 1)
Pd  0.678  0.500  0.879 (multiplicity 1)
Pd  0.894  0.000  0.379 (multiplicity 1)

Peak list (10 most intense, 5 to 70 degrees two-theta, by intensity)
2θ 35.5, intensity 1000
2θ 37.4, intensity 817
2θ 37.5, intensity 775
2θ 11.4, intensity 680
2θ 41.9, intensity 673
2θ 46.2, intensity 588
2θ 35.2, intensity 493
2θ 35.3, intensity 332
2θ 44.3, intensity 293
2θ 68.6, intensity 271



This entry pairs a crystal structure of Rb2Na2LiReO6 with its computed powder XRD pattern. Radiation: CuKα. Structure: a cell relaxed with GGA-PBE.
Lines closer than 0.1° are merged.

Structural model:
Cell lengths 6.376, 11.212, 5.584 Å; angles 90.00, 118.98, 90.00 degrees
Space group C2/m (No. 12)
One atom of each set of equivalent atoms:
Rb  0.000  0.172  0.000 (multiplicity 4)
Na  0.000  0.352  0.500 (multiplicity 4)
Li  0.000  0.000  0.500 (multiplicity 2)
Re  0.000  0.500  0.000 (multiplicity 2)
O  0.177  0.500  0.810 (multiplicity 4)
O  0.214  0.381  0.251 (multiplicity 8)

Peak list (10 most intense, 5 to 70 degrees two-theta, by intensity)
2θ 18.2, intensity 1000
2θ 29.6, intensity 719
2θ 38.3, intensity 707
2θ 28.8, intensity 638
2θ 17.8, intensity 499
2θ 35.2, intensity 424
2θ 28.1, intensity 316
2θ 32.1, intensity 270
2θ 49.6, intensity 269
2θ 40.4, intensity 222